PaCo2ReO8: theoretical powder XRD pattern (Cu Kα (λ = 1.5418 Å)), based on a cell relaxed with GGA+U.
Peak positions follow from Bragg's law for the DFT cell and can differ from measured ones.

Crystal structure
```
PaCo2ReO8
1.0
3.2956 -3.3653 0.0000
3.2956 3.3653 0.0000
0.0000 0.0000 6.5810
Pa Co Re O
1 2 1 8
Direct
0.0000 0.0000 0.0000 Pa
0.5000 0.5000 0.2607 Co
0.5000 0.5000 0.7393 Co
0.0000 0.0000 0.5000 Re
0.1926 0.8074 0.2847 O
0.1926 0.8074 0.7153 O
0.2842 0.2842 0.5000 O
0.3063 0.3063 0.0000 O
0.6937 0.6937 0.0000 O
0.7158 0.7158 0.5000 O
0.8074 0.1926 0.2847 O
0.8074 0.1926 0.7153 O
```

The 10 most intense peaks (2θ = 10–80°), in order of rising 2θ:
18.8 deg, I = 67; 26.5 deg, I = 56; 27.1 deg, I = 67; 33.2 deg, I = 100; 38.2 deg, I = 48; 51.2 deg, I = 39; 51.8 deg, I = 36; 55.8 deg, I = 18; 62.8 deg, I = 19; 65.9 deg, I = 21